[1]
The following is a calculated XRD peak list of KHfOsO6. It was derived from DFT lattice parameters and positions (PBE), using Cu Kα, 1.54184 Å.
Peak positions follow from Bragg's law for the DFT cell and can differ from measured ones.

Principal peaks in the range 2θ = 10–90°, in order of rising 2θ:
- d = 6.141 Å, rel. 100
- d = 6.033 Å, rel. 91
- d = 3.197 Å, rel. 75
- d = 3.147 Å, rel. 65
- d = 3.070 Å, rel. 82
- d = 3.016 Å, rel. 65

Cell and atoms:
```
KHfOsO6
1.0
-3.665 3.763 5.310
3.665 -3.763 5.310
3.665 3.763 -5.310
K Hf Os O
2 2 2 12
direct
0.407 0.157 0.250 K
0.593 0.843 0.750 K
0.000 0.500 0.500 Hf
0.500 0.500 0.000 Hf
0.000 0.000 0.500 Os
0.000 0.500 0.000 Os
0.051 0.801 0.250 O
0.056 0.428 0.225 O
0.056 0.831 0.628 O
0.297 0.169 0.725 O
0.297 0.572 0.128 O
0.323 0.573 0.750 O
0.677 0.427 0.250 O
0.703 0.428 0.872 O
0.703 0.831 0.275 O
0.944 0.169 0.372 O
0.944 0.572 0.775 O
0.949 0.199 0.750 O
```

[2]
The following is a calculated XRD peak list of Li4Ce3PaSe8. It was derived from DFT lattice parameters and positions (PBE), using Cu Kα, 1.54184 Å.
Peak positions follow from Bragg's law for the DFT cell and can differ from measured ones.

Principal peaks in the range 2θ = 10–90°, in order of rising 2θ:
- d = 6.536 Å, rel. 45
- d = 3.542 Å, rel. 40
- d = 2.902 Å, rel. 100
- d = 2.652 Å, rel. 22
- d = 2.079 Å, rel. 38
- d = 2.026 Å, rel. 35

Cell and atoms:
```
Li4Ce3PaSe8
1.0
4.158 2.401 6.536
-4.158 2.401 6.536
0.000 -4.802 6.536
Li Ce Pa Se
4 3 1 8
direct
0.000 0.000 0.000 Li
0.000 0.500 0.500 Li
0.500 0.000 0.500 Li
0.500 0.500 0.000 Li
0.000 0.000 0.500 Ce
0.000 0.500 0.000 Ce
0.500 0.000 0.000 Ce
0.500 0.500 0.500 Pa
0.251 0.251 0.738 Se
0.251 0.738 0.251 Se
0.254 0.254 0.254 Se
0.262 0.749 0.749 Se
0.738 0.251 0.251 Se
0.746 0.746 0.746 Se
0.749 0.262 0.749 Se
0.749 0.749 0.262 Se
```

[3]
The following is a calculated XRD peak list of Zn3Co5. It was derived from DFT lattice parameters and positions (PBE), using Cu Kα, 1.54184 Å.
Peak positions follow from Bragg's law for the DFT cell and can differ from measured ones.

Principal peaks in the range 2θ = 10–90°, in order of rising 2θ:
- d = 2.071 Å, rel. 100
- d = 2.048 Å, rel. 44
- d = 2.022 Å, rel. 61
- d = 2.011 Å, rel. 54
- d = 1.990 Å, rel. 40
- d = 1.892 Å, rel. 43

Cell and atoms:
```
Zn3Co5
1.0
5.095 -4.636 0.000
5.095 4.636 0.000
-1.917 0.000 4.146
Zn Co
6 10
direct
0.016 0.984 0.750 Zn
0.145 0.500 0.353 Zn
0.500 0.145 0.853 Zn
0.500 0.855 0.147 Zn
0.855 0.500 0.647 Zn
0.984 0.016 0.250 Zn
0.175 0.686 0.957 Co
0.176 0.314 0.777 Co
0.314 0.176 0.277 Co
0.314 0.825 0.543 Co
0.500 0.500 0.250 Co
0.500 0.500 0.750 Co
0.686 0.175 0.457 Co
0.686 0.824 0.723 Co
0.824 0.686 0.223 Co
0.825 0.314 0.043 Co
```

[4]
The following is a calculated XRD peak list of Sm4AlHgO. It was derived from DFT lattice parameters and positions (PBE), using Cu Kα, 1.54184 Å.
Peak positions follow from Bragg's law for the DFT cell and can differ from measured ones.

Principal peaks in the range 2θ = 10–90°, in order of rising 2θ:
- d = 3.106 Å, rel. 100
- d = 2.662 Å, rel. 32
- d = 2.654 Å, rel. 32
- d = 2.576 Å, rel. 93
- d = 2.384 Å, rel. 74
- d = 1.775 Å, rel. 58

Cell and atoms:
```
Sm4AlHgO
1.0
3.370 -7.987 0.000
3.370 7.987 0.000
0.000 0.000 6.746
Sm Al Hg O
8 2 2 2
direct
0.000 0.500 0.000 Sm
0.000 0.500 0.500 Sm
0.075 0.925 0.750 Sm
0.425 0.575 0.750 Sm
0.500 0.000 0.000 Sm
0.500 0.000 0.500 Sm
0.575 0.425 0.250 Sm
0.925 0.075 0.250 Sm
0.117 0.883 0.250 Al
0.883 0.117 0.750 Al
0.384 0.616 0.250 Hg
0.616 0.384 0.750 Hg
0.254 0.746 0.750 O
0.746 0.254 0.250 O
```

[5]
The following is a calculated XRD peak list of Ca2MgBr. It was derived from DFT lattice parameters and positions (PBE), using Cu Kα, 1.54184 Å.
Peak positions follow from Bragg's law for the DFT cell and can differ from measured ones.

Principal peaks in the range 2θ = 10–90°, in order of rising 2θ:
- d = 8.808 Å, rel. 39
- d = 4.047 Å, rel. 68
- d = 3.677 Å, rel. 51
- d = 2.871 Å, rel. 100
- d = 2.638 Å, rel. 60
- d = 2.341 Å, rel. 58

Cell and atoms:
```
Ca2MgBr
1.0
3.785 0.000 0.000
0.000 4.047 0.000
0.000 0.000 8.808
Ca Mg Br
2 1 1
direct
0.000 0.000 0.232 Ca
0.000 0.000 0.768 Ca
0.500 0.500 0.000 Mg
0.500 0.000 0.500 Br
```

[6]
The following is a calculated XRD peak list of In2SiAg2Se6. It was derived from DFT lattice parameters and positions (PBE), using Cu Kα, 1.54184 Å.
Peak positions follow from Bragg's law for the DFT cell and can differ from measured ones.

Principal peaks in the range 2θ = 10–90°, in order of rising 2θ:
- d = 3.627 Å, rel. 63
- d = 3.582 Å, rel. 91
- d = 3.189 Å, rel. 65
- d = 3.184 Å, rel. 71
- d = 3.081 Å, rel. 91
- d = 2.055 Å, rel. 100

Cell and atoms:
```
In2SiAg2Se6
1.0
6.473 -3.801 0.000
6.473 3.801 0.000
-4.252 0.000 12.145
In Si Ag Se
4 2 4 12
direct
0.061 0.939 0.500 In
0.080 0.272 0.800 In
0.272 0.080 0.300 In
0.939 0.061 0.000 In
0.160 0.702 0.742 Si
0.702 0.160 0.242 Si
0.159 0.563 0.155 Ag
0.563 0.159 0.655 Ag
0.563 0.755 0.993 Ag
0.755 0.563 0.493 Ag
0.119 0.598 0.555 Se
0.287 0.814 0.112 Se
0.357 0.410 0.822 Se
0.361 0.874 0.790 Se
0.410 0.357 0.322 Se
0.414 0.929 0.486 Se
0.598 0.119 0.055 Se
0.814 0.287 0.612 Se
0.846 0.872 0.797 Se
0.872 0.846 0.297 Se
0.874 0.361 0.290 Se
0.929 0.414 0.986 Se
```

[7]
The following is a calculated XRD peak list of Li4DyHg5. It was derived from DFT lattice parameters and positions (PBE), using Cu Kα, 1.54184 Å.
Peak positions follow from Bragg's law for the DFT cell and can differ from measured ones.

Principal peaks in the range 2θ = 10–90°, in order of rising 2θ:
- d = 3.449 Å, rel. 77
- d = 3.352 Å, rel. 26
- d = 2.439 Å, rel. 65
- d = 2.404 Å, rel. 100
- d = 1.972 Å, rel. 25
- d = 1.401 Å, rel. 38

Cell and atoms:
```
Li4DyHg5
1.0
3.449 0.000 0.000
0.000 3.449 0.000
0.000 0.000 16.758
Li Dy Hg
4 1 5
direct
0.000 0.000 0.093 Li
0.000 0.000 0.283 Li
0.000 0.000 0.717 Li
0.000 0.000 0.907 Li
0.000 0.000 0.500 Dy
0.500 0.500 0.000 Hg
0.500 0.500 0.188 Hg
0.500 0.500 0.378 Hg
0.500 0.500 0.622 Hg
0.500 0.500 0.812 Hg
```

[8]
The following is a calculated XRD peak list of Ce2PmPt. It was derived from DFT lattice parameters and positions (PBE), using Cu Kα, 1.54184 Å.
Peak positions follow from Bragg's law for the DFT cell and can differ from measured ones.

Principal peaks in the range 2θ = 10–90°, in order of rising 2θ:
- d = 2.913 Å, rel. 100
- d = 2.759 Å, rel. 33
- d = 2.586 Å, rel. 56
- d = 2.452 Å, rel. 37
- d = 2.366 Å, rel. 40
- d = 1.617 Å, rel. 24

Cell and atoms:
```
Ce2PmPt
1.0
3.744 0.000 0.000
0.000 11.466 0.000
0.000 0.000 10.147
Ce Pm Pt
8 4 4
direct
0.000 0.136 0.050 Ce
0.000 0.136 0.450 Ce
0.000 0.864 0.550 Ce
0.000 0.864 0.950 Ce
0.500 0.364 0.550 Ce
0.500 0.364 0.950 Ce
0.500 0.636 0.050 Ce
0.500 0.636 0.450 Ce
0.000 0.421 0.250 Pm
0.000 0.579 0.750 Pm
0.500 0.079 0.750 Pm
0.500 0.921 0.250 Pm
0.000 0.292 0.750 Pt
0.000 0.708 0.250 Pt
0.500 0.208 0.250 Pt
0.500 0.792 0.750 Pt
```

[9]
The following is a calculated XRD peak list of SiIO. It was derived from DFT lattice parameters and positions (PBE), using Cu Kα, 1.54184 Å.
Peak positions follow from Bragg's law for the DFT cell and can differ from measured ones.

Principal peaks in the range 2θ = 10–90°, in order of rising 2θ:
- d = 4.637 Å, rel. 100
- d = 3.204 Å, rel. 24
- d = 3.134 Å, rel. 35
- d = 3.019 Å, rel. 23
- d = 2.495 Å, rel. 25
- d = 2.240 Å, rel. 26

Cell and atoms:
```
SiIO
1.0
7.237 0.000 0.000
-3.619 6.268 0.000
0.000 0.000 6.890
Si I O
3 3 3
direct
0.218 0.107 0.000 Si
0.890 0.782 0.333 Si
0.893 0.110 0.667 Si
0.514 0.483 0.168 I
0.517 0.031 0.835 I
0.969 0.486 0.502 I
0.059 0.936 0.165 O
0.064 0.123 0.832 O
0.877 0.941 0.499 O
```

[10]
The following is a calculated XRD peak list of Sr4Sn5Hg2. It was derived from DFT lattice parameters and positions (PBE), using Cu Kα, 1.54184 Å.
Peak positions follow from Bragg's law for the DFT cell and can differ from measured ones.

Principal peaks in the range 2θ = 10–90°, in order of rising 2θ:
- d = 2.893 Å, rel. 32
- d = 2.821 Å, rel. 29
- d = 2.735 Å, rel. 41
- d = 2.642 Å, rel. 100
- d = 2.144 Å, rel. 34
- d = 1.507 Å, rel. 32

Cell and atoms:
```
Sr4Sn5Hg2
1.0
8.345 0.000 0.000
0.000 3.667 0.000
-0.760 0.000 10.881
Sr Sn Hg
4 5 2
direct
0.173 0.000 0.386 Sr
0.278 0.000 0.940 Sr
0.722 0.000 0.060 Sr
0.827 0.000 0.614 Sr
0.196 0.500 0.664 Sn
0.439 0.500 0.208 Sn
0.500 0.500 0.500 Sn
0.561 0.500 0.792 Sn
0.804 0.500 0.336 Sn
0.060 0.500 0.134 Hg
0.940 0.500 0.866 Hg
```

[11]
The following is a calculated XRD peak list of Zn3Ni20P6. It was derived from DFT lattice parameters and positions (PBE), using Cu Kα, 1.54184 Å.
Peak positions follow from Bragg's law for the DFT cell and can differ from measured ones.

Principal peaks in the range 2θ = 10–90°, in order of rising 2θ:
- d = 2.255 Å, rel. 24
- d = 2.126 Å, rel. 100
- d = 1.953 Å, rel. 36
- d = 1.868 Å, rel. 29
- d = 1.302 Å, rel. 21
- d = 1.128 Å, rel. 21

Cell and atoms:
```
Zn3Ni20P6
1.0
0.000 5.525 5.525
5.525 0.000 5.525
5.525 5.525 0.000
Zn Ni P
3 20 6
direct
0.000 0.000 0.000 Zn
0.250 0.250 0.250 Zn
0.750 0.750 0.750 Zn
0.000 0.000 0.346 Ni
0.000 0.000 0.654 Ni
0.000 0.346 0.000 Ni
0.000 0.346 0.654 Ni
0.000 0.654 0.000 Ni
0.000 0.654 0.346 Ni
0.143 0.619 0.619 Ni
0.346 0.000 0.000 Ni
0.346 0.000 0.654 Ni
0.346 0.654 0.000 Ni
0.381 0.381 0.381 Ni
0.381 0.381 0.857 Ni
0.381 0.857 0.381 Ni
0.619 0.143 0.619 Ni
0.619 0.619 0.143 Ni
0.619 0.619 0.619 Ni
0.654 0.000 0.000 Ni
0.654 0.000 0.346 Ni
0.654 0.346 0.000 Ni
0.857 0.381 0.381 Ni
0.268 0.268 0.732 P
0.268 0.732 0.268 P
0.268 0.732 0.732 P
0.732 0.268 0.268 P
0.732 0.268 0.732 P
0.732 0.732 0.268 P
```

[12]
The following is a calculated XRD peak list of CeSi2Ir3. It was derived from DFT lattice parameters and positions (PBE), using Cu Kα, 1.54184 Å.
Peak positions follow from Bragg's law for the DFT cell and can differ from measured ones.

Principal peaks in the range 2θ = 10–90°, in order of rising 2θ:
- d = 3.705 Å, rel. 30
- d = 2.944 Å, rel. 66
- d = 2.424 Å, rel. 100
- d = 2.233 Å, rel. 51
- d = 2.028 Å, rel. 54
- d = 1.472 Å, rel. 43

Cell and atoms:
```
CeSi2Ir3
1.0
5.598 0.000 0.000
-2.799 4.848 0.000
0.000 0.000 3.705
Ce Si Ir
1 2 3
direct
0.000 0.000 0.000 Ce
0.333 0.667 0.000 Si
0.667 0.333 0.000 Si
0.000 0.500 0.500 Ir
0.500 0.000 0.500 Ir
0.500 0.500 0.500 Ir
```

[13]
The following is a calculated XRD peak list of SrLiMgZn. It was derived from DFT lattice parameters and positions (PBE), using Cu Kα, 1.54184 Å.
Peak positions follow from Bragg's law for the DFT cell and can differ from measured ones.

Principal peaks in the range 2θ = 10–90°, in order of rising 2θ:
- d = 4.031 Å, rel. 100
- d = 2.914 Å, rel. 89
- d = 2.722 Å, rel. 25
- d = 2.566 Å, rel. 37
- d = 2.401 Å, rel. 84
- d = 1.799 Å, rel. 29

Cell and atoms:
```
SrLiMgZn
1.0
8.331 0.000 0.000
0.000 4.796 0.000
-2.756 0.000 5.444
Sr Li Mg Zn
2 2 2 2
direct
0.000 0.000 0.000 Sr
0.500 0.500 0.000 Sr
0.301 0.500 0.403 Li
0.801 0.000 0.403 Li
0.012 0.500 0.535 Mg
0.512 0.000 0.535 Mg
0.202 0.000 0.604 Zn
0.702 0.500 0.604 Zn
```